The following is a computed X-ray diffraction stick pattern of CsI. It was derived from DFT lattice parameters and positions (PBE), using CuKα.

Structure:
```
data_CsI
_chemical_formula_sum 'Cs4 I4'
_space_group_name_H-M_alt 'P n m a'
_space_group_IT_number 62
_space_group_name_Hall '-P 2ac 2n'
_cell_length_a 11.097
_cell_length_b 5.570
_cell_length_c 7.910
_cell_angle_alpha 90.00
_cell_angle_beta 90.00
_cell_angle_gamma 90.00
loop_
_atom_site_label
_atom_site_type_symbol
_atom_site_fract_x
_atom_site_fract_y
_atom_site_fract_z
Cs1 Cs 0.117 0.250 0.249
I1 I 0.131 0.250 0.748
```

Largest 10 diffraction maxima, sorted by position, 5° ≤ 2θ ≤ 70°:
| index | 2theta | intensity |
| --- | --- | --- |
| 0 0 2 | 22.48 | 50 |
| 2 1 0 | 22.62 | 98 |
| 0 2 0 | 32.11 | 100 |
| 4 0 0 | 32.27 | 19 |
| 0 2 2 | 39.58 | 23 |
| 4 0 2 | 39.68 | 22 |
| 2 1 4 | 51.75 | 20 |
| 2 3 0 | 51.94 | 30 |
| 0 2 4 | 57.17 | 15 |
| 2 3 2 | 57.28 | 15 |

The following is a computed X-ray diffraction stick pattern of Er5SbPd2. It was derived from DFT lattice parameters and positions (PBE), using CuKα.

Structure:
```
data_Er5SbPd2
_chemical_formula_sum 'Er20 Sb4 Pd8'
_space_group_name_H-M_alt 'I 4/m c m'
_space_group_IT_number 140
_space_group_name_Hall '-I 4 2c'
_cell_length_a 7.684
_cell_length_b 7.684
_cell_length_c 13.654
_cell_angle_alpha 90.00
_cell_angle_beta 90.00
_cell_angle_gamma 90.00
loop_
_atom_site_label
_atom_site_type_symbol
_atom_site_fract_x
_atom_site_fract_y
_atom_site_fract_z
Er1 Er 0.000 0.000 0.000
Er2 Er 0.156 0.344 0.143
Sb1 Sb 0.000 0.000 0.250
Pd1 Pd 0.137 0.363 0.500
```

Largest 10 diffraction maxima, sorted by position, 5° ≤ 2θ ≤ 70°:
| index | 2theta | intensity |
| --- | --- | --- |
| 2 1 1 | 26.75 | 10 |
| 1 1 4 | 30.94 | 21 |
| 2 1 3 | 32.65 | 100 |
| 2 0 4 | 35.17 | 25 |
| 3 1 0 | 37.00 | 55 |
| 2 1 5 | 42.27 | 10 |
| 4 1 3 | 53.11 | 11 |
| 3 3 4 | 57.62 | 13 |
| 3 1 8 | 67.01 | 13 |
| 5 2 3 | 68.98 | 16 |

The following is a computed X-ray diffraction stick pattern of Y3Cu3Sb4. It was derived from DFT lattice parameters and positions (PBE), using CuKα.

Structure:
```
data_Y3Cu3Sb4
_chemical_formula_sum 'Y12 Cu12 Sb16'
_space_group_name_H-M_alt 'I -4 3 d'
_space_group_IT_number 220
_space_group_name_Hall 'I -4bd 2c 3'
_cell_length_a 9.553
_cell_length_b 9.553
_cell_length_c 9.553
_cell_angle_alpha 90.00
_cell_angle_beta 90.00
_cell_angle_gamma 90.00
loop_
_atom_site_label
_atom_site_type_symbol
_atom_site_fract_x
_atom_site_fract_y
_atom_site_fract_z
Y1 Y 0.000 0.250 0.875
Cu1 Cu 0.000 0.250 0.375
Sb1 Sb 0.080 0.420 0.580
```

Largest 10 diffraction maxima, sorted by position, 5° ≤ 2θ ≤ 70°:
| index | 2theta | intensity |
| --- | --- | --- |
| 2 1 1 | 22.80 | 8 |
| 3 1 0 | 29.57 | 40 |
| 3 2 1 | 35.15 | 100 |
| 4 2 0 | 42.31 | 25 |
| 4 2 2 | 46.58 | 20 |
| 4 3 1 | 48.60 | 20 |
| 6 1 1 | 59.67 | 11 |
| 6 2 0 | 61.38 | 14 |
| 5 4 1 | 63.07 | 8 |
| 4 4 4 | 67.99 | 7 |